# 1
Calculated X-ray powder pattern of La2SiI2O4 for CuKα, from the GGA-PBE geometry in the Materials Project.
No peak broadening, texture or thermal motion is included.

Structural model:
```
data_La2SiI2O4
_symmetry_space_group_name_H-M 'P -1'
_symmetry_Int_Tables_number 2
_symmetry_space_group_name_Hall '-P 1'
_cell_length_a 8.583
_cell_length_b 8.597
_cell_length_c 12.285
_cell_angle_alpha 107.62
_cell_angle_beta 99.34
_cell_angle_gamma 90.09
loop_
_atom_site_label
_atom_site_fract_x
_atom_site_fract_y
_atom_site_fract_z
La1 0.137 0.284 0.313
La2 0.217 0.066 0.623
La3 0.277 0.784 0.313
La4 0.341 0.567 0.625
Si1 0.049 0.699 0.474
Si2 0.439 0.200 0.475
I1 0.014 0.090 0.850
I2 0.155 0.562 0.838
I3 0.350 0.411 0.149
I4 0.498 0.944 0.165
O1 0.057 0.861 0.430
O2 0.116 0.754 0.616
O3 0.136 0.359 0.538
O4 0.168 0.573 0.405
O5 0.287 0.074 0.406
O6 0.382 0.858 0.537
O7 0.411 0.361 0.430
O8 0.437 0.256 0.616
```

The 8 most intense peaks (10° ≤ 2θ ≤ 90°), sorted by position:
d/Å	2θ (°)	intensity	(hkl)
3.839	23.17	49	2 1 -1
3.529	25.23	92	0 2 1
3.365	26.49	37	0 2 -3
3.181	28.05	81	2 -1 2
3.146	28.37	100	2 1 -3
2.886	30.99	61	0 0 4
2.341	38.45	74	0 2 -5
2.075	43.61	55	-4 1 1



# 2
Calculated X-ray powder pattern of La3OsI3 for CuKα, from the GGA-PBE geometry in the Materials Project.
No peak broadening, texture or thermal motion is included.

Structural model:
```
data_La3OsI3
_symmetry_space_group_name_H-M 'I 41 3 2'
_symmetry_Int_Tables_number 214
_symmetry_space_group_name_Hall 'I 4bd 2c 3'
_cell_length_a 12.685
_cell_length_b 12.685
_cell_length_c 12.685
_cell_angle_alpha 90.00
_cell_angle_beta 90.00
_cell_angle_gamma 90.00
loop_
_atom_site_label
_atom_site_fract_x
_atom_site_fract_y
_atom_site_fract_z
La1 0.103 0.353 0.125
Os1 0.125 0.125 0.125
I1 0.116 0.134 0.625
```

The 8 most intense peaks (10° ≤ 2θ ≤ 90°), sorted by position:
d/Å	2θ (°)	intensity	(hkl)
3.171	28.14	100	4 0 0
2.242	40.22	69	4 4 0
1.831	49.80	23	4 4 4
1.726	53.05	10	5 5 2
1.611	57.18	9	7 3 2
1.586	58.18	10	8 0 0
1.418	65.86	24	8 4 0
1.295	73.09	16	8 4 4



# 3
Calculated X-ray powder pattern of SrLa6OsI12 for CuKα, from the GGA-PBE geometry in the Materials Project.
No peak broadening, texture or thermal motion is included.

Structural model:
```
data_SrLa6OsI12
_symmetry_space_group_name_H-M 'R -3'
_symmetry_Int_Tables_number 148
_symmetry_space_group_name_Hall '-R 3'
_cell_length_a 16.3440
_cell_length_b 16.3440
_cell_length_c 11.5818
_cell_angle_alpha 90.00
_cell_angle_beta 90.00
_cell_angle_gamma 120.00
loop_
_atom_site_label
_atom_site_fract_x
_atom_site_fract_y
_atom_site_fract_z
Sr1 0.0000 0.0000 0.0000
La1 0.0438 0.1613 0.3582
Os1 0.0000 0.0000 0.5000
I1 0.0198 0.5862 0.1607
I2 0.0496 0.1792 0.8277
```

The 8 most intense peaks (10° ≤ 2θ ≤ 90°), sorted by position:
d/Å	2θ (°)	intensity	(hkl)
8.172	10.83	23	1 1 0
3.718	23.93	16	4 -3 1
3.249	27.45	100	3 1 2
2.330	38.64	37	4 -3 4
2.267	39.77	36	2 5 0
1.859	49.00	18	8 -6 2
1.470	63.28	14	7 -2 6
1.437	64.87	15	10 -1 2



# 4
Calculated X-ray powder pattern of La3PbI3 for CuKα, from the GGA-PBE geometry in the Materials Project.
No peak broadening, texture or thermal motion is included.

Structural model:
```
data_La3PbI3
_symmetry_space_group_name_H-M 'I 41 3 2'
_symmetry_Int_Tables_number 214
_symmetry_space_group_name_Hall 'I 4bd 2c 3'
_cell_length_a 13.070
_cell_length_b 13.070
_cell_length_c 13.070
_cell_angle_alpha 90.00
_cell_angle_beta 90.00
_cell_angle_gamma 90.00
loop_
_atom_site_label
_atom_site_fract_x
_atom_site_fract_y
_atom_site_fract_z
La1 0.118 0.368 0.125
Pb1 0.125 0.125 0.125
I1 0.120 0.130 0.625
```

The 8 most intense peaks (10° ≤ 2θ ≤ 90°), sorted by position:
d/Å	2θ (°)	intensity	(hkl)
4.133	21.50	8	3 1 0
3.268	27.29	100	4 0 0
2.311	38.98	76	4 4 0
1.887	48.24	27	4 4 4
1.634	56.31	13	8 0 0
1.461	63.68	35	8 4 0
1.334	70.61	25	8 4 4
1.155	83.72	8	8 8 0



# 5
Calculated X-ray powder pattern of La5Pb3I for CuKα, from the GGA-PBE geometry in the Materials Project.
No peak broadening, texture or thermal motion is included.

Structural model:
```
data_La5Pb3I
_symmetry_space_group_name_H-M 'P 63/m c m'
_symmetry_Int_Tables_number 193
_symmetry_space_group_name_Hall '-P 6c 2'
_cell_length_a 9.8785
_cell_length_b 9.8785
_cell_length_c 7.1935
_cell_angle_alpha 90.00
_cell_angle_beta 90.00
_cell_angle_gamma 120.00
loop_
_atom_site_label
_atom_site_fract_x
_atom_site_fract_y
_atom_site_fract_z
La1 0.0000 0.2755 0.2500
La2 0.3333 0.6667 0.0000
Pb1 0.0000 0.3852 0.7500
I1 0.0000 0.0000 0.0000
```

The 8 most intense peaks (10° ≤ 2θ ≤ 90°), sorted by position:
d/Å	2θ (°)	intensity	(hkl)
2.949	30.31	58	2 1 1
2.908	30.75	100	1 1 2
2.852	31.37	78	3 0 0
2.253	40.01	25	3 1 1
2.036	44.50	24	2 2 2
1.926	47.19	17	2 1 3
1.657	55.45	18	4 1 2
1.521	60.90	24	3 0 4



# 6
Calculated X-ray powder pattern of La3PtI3 for CuKα, from the GGA-PBE geometry in the Materials Project.
No peak broadening, texture or thermal motion is included.

Structural model:
```
data_La3PtI3
_symmetry_space_group_name_H-M 'I 41 3 2'
_symmetry_Int_Tables_number 214
_symmetry_space_group_name_Hall 'I 4bd 2c 3'
_cell_length_a 12.754
_cell_length_b 12.754
_cell_length_c 12.754
_cell_angle_alpha 90.00
_cell_angle_beta 90.00
_cell_angle_gamma 90.00
loop_
_atom_site_label
_atom_site_fract_x
_atom_site_fract_y
_atom_site_fract_z
La1 0.106 0.356 0.125
Pt1 0.125 0.125 0.125
I1 0.116 0.134 0.625
```

The 8 most intense peaks (10° ≤ 2θ ≤ 90°), sorted by position:
d/Å	2θ (°)	intensity	(hkl)
3.188	27.98	100	4 0 0
2.501	35.90	8	5 1 0
2.255	39.99	71	4 4 0
1.841	49.52	24	4 4 4
1.736	52.74	8	5 5 2
1.594	57.84	10	8 0 0
1.426	65.46	26	8 4 0
1.302	72.63	18	8 4 4



What did the fifth record say?
Calculated X-ray powder pattern of La5Pb3I for CuKα, from the GGA-PBE geometry in the Materials Project.
No peak broadening, texture or thermal motion is included.

Structural model:
```
data_La5Pb3I
_symmetry_space_group_name_H-M 'P 63/m c m'
_symmetry_Int_Tables_number 193
_symmetry_space_group_name_Hall '-P 6c 2'
_cell_length_a 9.8785
_cell_length_b 9.8785
_cell_length_c 7.1935
_cell_angle_alpha 90.00
_cell_angle_beta 90.00
_cell_angle_gamma 120.00
loop_
_atom_site_label
_atom_site_fract_x
_atom_site_fract_y
_atom_site_fract_z
La1 0.0000 0.2755 0.2500
La2 0.3333 0.6667 0.0000
Pb1 0.0000 0.3852 0.7500
I1 0.0000 0.0000 0.0000
```

The 8 most intense peaks (10° ≤ 2θ ≤ 90°), sorted by position:
d/Å	2θ (°)	intensity	(hkl)
2.949	30.31	58	2 1 1
2.908	30.75	100	1 1 2
2.852	31.37	78	3 0 0
2.253	40.01	25	3 1 1
2.036	44.50	24	2 2 2
1.926	47.19	17	2 1 3
1.657	55.45	18	4 1 2
1.521	60.90	24	3 0 4